No. 1
Structure and calculated powder X-ray diffraction pattern of CaLaTb2As4 (a crystal structure in Alexandria, relaxed with GGA-PBE; Cu Ka).

Largest 10 diffraction maxima, by intensity, 10 to 80 degrees two-theta:
Position (°2θ)	d (Å)	I (rel.)
42.8	2.112	100
30.0	2.982	89
29.8	2.994	45
53.1	1.724	35
70.6	1.334	30
78.5	1.218	22
70.4	1.338	15
25.8	3.448	13
78.3	1.221	11
62.3	1.491	11

Atomic structure:
Cell lengths 8.434, 11.978, 8.436 Å; angles 90.00, 90.00, 90.00 degrees
Space group Fmm2 (No. 42)
Unique sites:
Ca  0.000  0.000  0.000 x4
La  0.000  0.000  0.500 x4
Tb  0.250  0.250  0.251 x8
As  0.000  0.250  0.001 x8
As  0.250  0.000  0.250 x8

No. 2
Structure and calculated powder X-ray diffraction pattern of Ac2SiSbPd6 (a crystal structure in Alexandria, relaxed with GGA-PBE; Cu Ka).

Largest 10 diffraction maxima, by intensity, 10 to 80 degrees two-theta:
Position (°2θ)	d (Å)	I (rel.)
37.0	2.429	100
38.2	2.357	95
39.0	2.308	74
27.3	3.262	58
26.2	3.396	57
39.4	2.288	49
28.9	3.086	46
27.8	3.208	45
30.3	2.951	45
42.6	2.120	41

Atomic structure:
Cell lengths 5.712, 6.579, 7.152 Å; angles 75.20, 66.55, 64.39 degrees
Space group P-1 (No. 2)
Unique sites:
Ac  0.248  0.225  0.279 x2
Si  0.000  0.000  0.000 x1
Sb  0.500  0.500  0.500 x1
Pd  0.240  0.239  0.774 x2
Pd  0.244  0.618  0.893 x2
Pd  0.254  0.760  0.226 x2